Starting from the PBE geometry in the Materials Project, the X-ray diffraction stick pattern of PtC4N2Cl6 was simulated for Cu Ka.

```
data_PtC4N2Cl6
_cell_length_a 6.746
_cell_length_b 8.514
_cell_length_c 10.264
_cell_angle_alpha 90.00
_cell_angle_beta 90.00
_cell_angle_gamma 90.00
_space_group_name_H-M_alt 'I m m m'
_space_group_IT_number 71
_space_group_name_Hall '-I 2 2'
loop_
_atom_site_label
_atom_site_type_symbol
_atom_site_fract_x
_atom_site_fract_y
_atom_site_fract_z
Pt1 Pt 0.000 0.000 0.000
C1 C 0.000 0.275 0.378
N1 N 0.000 0.273 0.500
Cl1 Cl 0.000 0.276 0.000
Cl2 Cl 0.244 0.000 0.164
```

Largest 12 diffraction maxima, sorted by position, 5 to 70 degrees two-theta:
2θ 13.51, I = 1000, hkl 0 1 1; 2θ 15.72, I = 399, hkl 1 0 1; 2θ 16.77, I = 246, hkl 1 1 0; 2θ 17.28, I = 208, hkl 0 0 2; 2θ 24.17, I = 209, hkl 1 1 2; 2θ 26.23, I = 199, hkl 1 2 1; 2θ 29.27, I = 151, hkl 1 0 3; 2θ 31.75, I = 236, hkl 2 0 2; 2θ 32.74, I = 125, hkl 0 3 1; 2θ 38.63, I = 116, hkl 1 3 2; 2θ 38.97, I = 277, hkl 2 1 3; 2θ 49.74, I = 179, hkl 2 3 3